[1]
MgMnV4O12: theoretical X-ray powder pattern (a wavelength of 1.5418 Å), based on a DFT-relaxed cell (GGA+U, the Materials Project).

Unit cell a=4.9669 b=5.2998 c=7.7318 alpha=96.27 beta=90.83 gamma=90.24
Atoms (fractional coordinates):
Mg: 0.0000 0.0000 0.0000
Mn: 0.5025 0.4866 0.0051
V: 0.0106 0.5516 0.7054
V: 0.5071 0.0553 0.7034
V: 0.5066 0.0874 0.2488
V: 0.9982 0.5991 0.2503
O: 0.1526 0.6238 0.9265
O: 0.1724 0.9020 0.2340
O: 0.1929 0.2964 0.6381
O: 0.2856 0.4027 0.2434
O: 0.3117 0.8008 0.6470
O: 0.3687 0.1415 0.9297
O: 0.6087 0.0964 0.4579
O: 0.6916 0.7856 0.1257
O: 0.7011 0.4197 0.7607
O: 0.7850 0.3056 0.1313
O: 0.8086 0.9211 0.7656
O: 0.8957 0.6080 0.4559

Most intense lines, 5 to 70 degrees two-theta, in order of rising 2θ:
| 2θ (°) | d (Å) | I (rel.) |
| --- | --- | --- |
| 11.52 | 7.685 | 72 |
| 23.15 | 3.842 | 95 |
| 24.56 | 3.624 | 93 |
| 24.71 | 3.603 | 100 |
| 27.88 | 3.200 | 54 |
| 28.24 | 3.160 | 47 |
| 32.58 | 2.748 | 95 |
| 32.86 | 2.725 | 92 |
| 34.04 | 2.634 | 64 |
| 35.08 | 2.558 | 69 |

=====

[2]
MgFe2Cl2O2: theoretical X-ray powder pattern (a wavelength of 1.5418 Å), based on a DFT-relaxed cell (GGA+U, the Materials Project).

Unit cell a=3.7077 b=4.0464 c=7.6822 alpha=90.00 beta=90.00 gamma=90.00
Atoms (fractional coordinates):
Mg: 0.0000 0.0000 0.0000
Fe: 0.0000 0.5000 0.6868
Fe: 0.5000 0.0000 0.5459
Cl: 0.0000 0.0000 0.3091
Cl: 0.5000 0.5000 0.0097
O: 0.0000 0.0000 0.7469
O: 0.5000 0.5000 0.5775

Most intense lines, 5 to 70 degrees two-theta, in order of rising 2θ:
| 2θ (°) | d (Å) | I (rel.) |
| --- | --- | --- |
| 11.52 | 7.682 | 100 |
| 23.16 | 3.841 | 21 |
| 24.87 | 3.580 | 33 |
| 33.60 | 2.668 | 64 |
| 34.84 | 2.575 | 92 |
| 40.50 | 2.227 | 21 |
| 42.92 | 2.107 | 26 |
| 44.80 | 2.023 | 33 |
| 49.15 | 1.854 | 25 |
| 57.14 | 1.612 | 22 |

=====

[3]
Sr2CoMoO6: theoretical X-ray powder pattern (a wavelength of 1.5418 Å), based on a DFT-relaxed cell (GGA+U, the Materials Project).

Unit cell a=5.5643 b=5.5643 c=5.5643 alpha=120.05 beta=120.05 gamma=89.92
Atoms (fractional coordinates):
Sr: 0.2500 0.7500 0.5000
Sr: 0.7500 0.2500 0.5000
Co: 0.0000 0.0000 0.0000
Mo: 0.5000 0.5000 0.0000
O: 0.2159 0.2869 0.5029
O: 0.2522 0.2522 0.0000
O: 0.2869 0.7841 0.0710
O: 0.7131 0.2159 0.9290
O: 0.7478 0.7478 0.0000
O: 0.7841 0.7131 0.4971

Most intense lines, 5 to 70 degrees two-theta, in order of rising 2θ:
| 2θ (°) | d (Å) | I (rel.) |
| --- | --- | --- |
| 19.54 | 4.542 | 3 |
| 22.60 | 3.934 | 1 |
| 32.18 | 2.781 | 100 |
| 37.93 | 2.372 | 2 |
| 39.69 | 2.271 | 5 |
| 46.15 | 1.967 | 34 |
| 50.57 | 1.805 | 1 |
| 57.38 | 1.606 | 40 |
| 61.22 | 1.514 | 1 |
| 67.33 | 1.391 | 20 |

=====

Q: What is the formula in the third record?
A: Sr2CoMoO6

=====

Q: Which formula does entry 3 have?
A: Sr2CoMoO6